Computed powder XRD pattern
Compound: Er5ScBi4
Radiation: a wavelength of 1.5418 Å
Structure: DFT lattice parameters and positions (PBE)
Neutral-atom scattering factors, no anomalous dispersion.

Structural model:
a b c (Å): 19.5711 4.3227 7.5953
angles (deg): 90.00 101.09 90.00
Space group C2/m (No. 12)
Unique sites:
Er 0.0000 0.0000 0.0000 [2 per cell]
Er 0.1882 0.5000 0.5858 [4 per cell]
Er 0.1953 0.5000 0.1147 [4 per cell]
Sc 0.0000 0.0000 0.5000 [2 per cell]
Bi 0.0586 0.5000 0.2876 [4 per cell]
Bi 0.1327 0.0000 0.8223 [4 per cell]

Principal peaks in the range 10 to 80 degrees two-theta, by angle:
two_theta, intensity
24.69, 64
32.75, 100
33.17, 60
38.88, 50
41.79, 35
54.37, 30